Theoretical X-ray powder pattern of Rb4CoO4 for copper Kα, from the GGA+U geometry in OQMD.
No peak broadening, texture or thermal motion is included.

Largest 8 diffraction maxima, in order of rising 2θ, 2θ from 10° to 90°:
d_spacing  two_theta  I (rel.)  index
3.122  28.6  48  1 1 3
3.097  28.8  58  0 1 3
3.049  29.3  100  1 1 -2
3.019  29.6  80  0 2 1
2.984  29.9  91  2 0 0
2.755  32.5  88  2 2 1
2.689  33.3  84  1 -1 2
2.483  36.2  53  -1 1 3

Structural model:
```
Rb4CoO4
1.0
6.546 0.000 0.000
2.673 6.046 0.000
1.936 2.527 9.309
Rb Co O
8 2 8
direct
0.211 0.471 0.123
0.244 0.268 0.533
0.246 0.903 0.343
0.284 0.008 0.933
0.716 0.992 0.067
0.754 0.097 0.657
0.756 0.732 0.467
0.789 0.529 0.877
0.268 0.661 0.750
0.732 0.339 0.250
0.044 0.803 0.870
0.125 0.664 0.609
0.435 0.372 0.845
0.448 0.828 0.688
0.552 0.172 0.312
0.565 0.628 0.155
0.875 0.336 0.391
0.956 0.197 0.130
```